Diffraction record for LiCo2OF3. The X-ray powder pattern is theoretical, not measured: it uses a crystal structure in the Materials Project, relaxed with PBE+U and λ = 1.5418 Å (Cu Kα).
Neutral-atom scattering factors, no anomalous dispersion.

Crystal structure
Lattice parameters (Å, degrees): 6.1694 6.1285 8.4963 90.00 90.50 90.00
Element x y z (fractional)
Li: 0.0000 0.0000 0.0000
Li: 0.2342 0.2351 0.7490
Li: 0.5000 0.9973 0.0000
Li: 0.7658 0.2351 0.2510
Co: 0.0000 0.4404 0.5000
Co: 0.2205 0.4797 0.1320
Co: 0.2365 0.7239 0.7550
Co: 0.2604 0.0027 0.3741
Co: 0.5000 0.4459 0.5000
Co: 0.7396 0.0027 0.6259
Co: 0.7635 0.7239 0.2450
Co: 0.7795 0.4797 0.8680
O: 0.0217 0.4960 0.7350
O: 0.2579 0.2433 0.5092
O: 0.7421 0.2433 0.4908
O: 0.9783 0.4960 0.2650
F: 0.0091 0.9833 0.7626
F: 0.2485 0.2169 0.9963
F: 0.2485 0.7507 0.9987
F: 0.2741 0.7225 0.5046
F: 0.4756 0.9668 0.7640
F: 0.4880 0.4821 0.7549
F: 0.5120 0.4821 0.2451
F: 0.5244 0.9668 0.2360
F: 0.7259 0.7225 0.4954
F: 0.7515 0.7507 0.0013
F: 0.7515 0.2169 0.0037
F: 0.9909 0.9833 0.2374

The 8 most intense peaks (10 to 90 degrees two-theta), by angle:
| Position (°2θ) | d [Å] | Rel. int. |
| --- | --- | --- |
| 10.4 | 8.496 | 32 |
| 14.5 | 6.129 | 26 |
| 29.3 | 3.048 | 34 |
| 29.5 | 3.029 | 32 |
| 34.3 | 2.613 | 100 |
| 34.9 | 2.569 | 47 |
| 60.8 | 1.524 | 31 |
| 61.2 | 1.515 | 33 |